Calculated XRD peak list
Compound: Mg2B2Ir5Ru
Radiation: CuKα
Structure: the PBE geometry in Alexandria
Neutral-atom scattering factors, no anomalous dispersion.

Atomic structure:
```
Mg2B2Ir5Ru
1.0
9.667 0.000 0.000
0.000 9.667 0.000
0.000 0.000 2.892
Mg B Ir Ru
4 4 10 2
direct
0.178 0.322 0.000
0.322 0.822 0.000
0.678 0.178 0.000
0.822 0.678 0.000
0.123 0.623 0.000
0.377 0.123 0.000
0.623 0.877 0.000
0.877 0.377 0.000
0.000 0.500 0.500
0.071 0.779 0.500
0.221 0.071 0.500
0.279 0.571 0.500
0.429 0.279 0.500
0.500 0.000 0.500
0.571 0.721 0.500
0.721 0.429 0.500
0.779 0.929 0.500
0.929 0.221 0.500
0.000 0.000 0.000
0.500 0.500 0.000
```

Largest 10 diffraction maxima, in order of rising 2θ, 15° ≤ 2θ ≤ 90°:
2θ 20.54, I 62.2; 2θ 30.92, I 78.4; 2θ 33.42, I 56.3; 2θ 37.41, I 42.2; 2θ 38.39, I 79.3; 2θ 41.79, I 71.5; 2θ 43.05, I 100.0; 2θ 46.17, I 57.2; 2θ 50.08, I 51.1; 2θ 77.17, I 51.6

---

Calculated XRD peak list
Compound: B6IrN6
Radiation: CuKα
Structure: the PBE geometry in Alexandria
Neutral-atom scattering factors, no anomalous dispersion.

Atomic structure:
```
B6IrN6
1.0
4.589 0.000 0.000
0.000 4.589 0.000
0.000 0.000 4.589
B Ir N
6 1 6
direct
0.000 0.243 0.500
0.000 0.757 0.500
0.243 0.500 0.000
0.500 0.000 0.243
0.500 0.000 0.757
0.757 0.500 0.000
0.000 0.000 0.000
0.000 0.500 0.254
0.000 0.500 0.746
0.254 0.000 0.500
0.500 0.254 0.000
0.500 0.746 0.000
0.746 0.000 0.500
```

Largest 10 diffraction maxima, in order of rising 2θ, 15° ≤ 2θ ≤ 90°:
2θ 19.34, I 100.0; 2θ 27.49, I 47.9; 2θ 33.83, I 33.4; 2θ 39.26, I 25.0; 2θ 44.13, I 49.2; 2θ 48.59, I 52.7; 2θ 60.52, I 24.1; 2θ 67.72, I 13.8; 2θ 77.88, I 25.4; 2θ 87.67, I 14.4

---

Calculated XRD peak list
Compound: Zn2BIrN
Radiation: CuKα
Structure: the PBE geometry in Alexandria
Neutral-atom scattering factors, no anomalous dispersion.

Atomic structure:
```
Zn2BIrN
1.0
4.930 0.000 0.000
0.000 4.930 0.000
0.000 0.000 2.646
Zn B Ir N
2 1 1 1
direct
0.000 0.500 0.000
0.500 0.000 0.000
0.000 0.000 0.500
0.500 0.500 0.500
0.000 0.000 0.000
```

Largest 10 diffraction maxima, in order of rising 2θ, 15° ≤ 2θ ≤ 90°:
2θ 17.99, I 100.0; 2θ 36.45, I 83.0; 2θ 38.62, I 42.8; 2θ 40.93, I 27.5; 2θ 42.91, I 90.0; 2θ 52.50, I 28.4; 2θ 54.15, I 32.3; 2θ 70.05, I 41.4; 2θ 82.81, I 14.7; 2θ 88.74, I 12.6

---

Calculated XRD peak list
Compound: NaB4Ir4
Radiation: CuKα
Structure: the PBE geometry in Alexandria
Neutral-atom scattering factors, no anomalous dispersion.

Atomic structure:
```
NaB4Ir4
1.0
7.567 0.000 0.000
0.000 7.567 0.000
0.000 0.000 4.012
Na B Ir
2 8 8
direct
0.250 0.250 0.250
0.750 0.750 0.750
0.030 0.908 0.138
0.092 0.530 0.638
0.408 0.970 0.638
0.470 0.592 0.138
0.530 0.408 0.862
0.592 0.030 0.362
0.908 0.470 0.362
0.970 0.092 0.862
0.101 0.635 0.139
0.135 0.899 0.639
0.365 0.601 0.639
0.399 0.865 0.139
0.601 0.135 0.861
0.635 0.399 0.361
0.865 0.101 0.361
0.899 0.365 0.861
```

Largest 10 diffraction maxima, in order of rising 2θ, 15° ≤ 2θ ≤ 90°:
2θ 16.57, I 86.9; 2θ 27.80, I 29.4; 2θ 34.68, I 100.0; 2θ 37.59, I 48.0; 2θ 40.53, I 39.1; 2θ 46.86, I 32.9; 2θ 48.10, I 24.9; 2θ 48.99, I 25.2; 2θ 58.82, I 21.7; 2θ 79.31, I 19.4

---

Calculated XRD peak list
Compound: Nb3B7Ir
Radiation: CuKα
Structure: the PBE geometry in Alexandria
Neutral-atom scattering factors, no anomalous dispersion.

Atomic structure:
```
Nb3B7Ir
1.0
1.639 -7.310 0.000
1.639 7.310 0.000
0.000 0.000 8.959
Nb B Ir
6 14 2
direct
0.110 0.890 0.555
0.110 0.890 0.945
0.249 0.751 0.250
0.751 0.249 0.750
0.890 0.110 0.055
0.890 0.110 0.445
0.272 0.728 0.533
0.272 0.728 0.967
0.365 0.635 0.648
0.365 0.635 0.852
0.426 0.574 0.250
0.487 0.513 0.591
0.487 0.513 0.909
0.513 0.487 0.091
0.513 0.487 0.409
0.574 0.426 0.750
0.635 0.365 0.148
0.635 0.365 0.352
0.728 0.272 0.033
0.728 0.272 0.467
0.048 0.952 0.250
0.952 0.048 0.750
```

Largest 10 diffraction maxima, in order of rising 2θ, 15° ≤ 2θ ≤ 90°:
2θ 27.90, I 100.0; 2θ 31.59, I 64.5; 2θ 32.38, I 52.0; 2θ 38.28, I 28.0; 2θ 38.73, I 35.3; 2θ 41.37, I 75.2; 2θ 42.65, I 75.0; 2θ 51.90, I 28.3; 2θ 56.13, I 27.7; 2θ 67.67, I 37.7

---

Calculated XRD peak list
Compound: Nd2B7Ir12
Radiation: CuKα
Structure: the PBE geometry in Alexandria
Neutral-atom scattering factors, no anomalous dispersion.

Atomic structure:
```
Nd2B7Ir12
1.0
9.002 0.000 0.000
-4.501 7.796 0.000
0.000 0.000 3.966
Nd B Ir
2 7 12
direct
0.000 0.000 0.000
0.333 0.667 0.500
0.101 0.441 0.000
0.270 0.222 0.500
0.341 0.899 0.000
0.559 0.659 0.000
0.667 0.333 0.000
0.778 0.048 0.500
0.952 0.730 0.500
0.063 0.284 0.500
0.088 0.686 0.000
0.221 0.937 0.500
0.314 0.402 0.000
0.404 0.161 0.000
0.534 0.411 0.500
0.589 0.123 0.500
0.598 0.912 0.000
0.716 0.779 0.500
0.757 0.596 0.000
0.839 0.243 0.000
0.877 0.466 0.500
```

Largest 10 diffraction maxima, in order of rising 2θ, 15° ≤ 2θ ≤ 90°:
2θ 30.03, I 9.9; 2θ 30.34, I 26.7; 2θ 38.04, I 100.0; 2θ 45.75, I 18.5; 2θ 47.92, I 11.3; 2θ 53.90, I 15.6; 2θ 55.88, I 10.0; 2θ 67.86, I 9.0; 2θ 73.32, I 12.6; 2θ 79.45, I 12.1

---

Calculated XRD peak list
Compound: Nd2B6Ir9
Radiation: CuKα
Structure: the PBE geometry in Alexandria
Neutral-atom scattering factors, no anomalous dispersion.

Atomic structure:
```
Nd2B6Ir9
1.0
5.702 0.000 0.000
-2.851 4.938 0.000
0.000 0.000 8.642
Nd B Ir
2 6 9
direct
0.000 0.000 0.204
0.000 0.000 0.796
0.333 0.667 0.167
0.333 0.667 0.500
0.333 0.667 0.833
0.667 0.333 0.167
0.667 0.333 0.500
0.667 0.333 0.833
0.000 0.500 0.000
0.000 0.500 0.337
0.000 0.500 0.663
0.500 0.000 0.000
0.500 0.000 0.337
0.500 0.000 0.663
0.500 0.500 0.000
0.500 0.500 0.337
0.500 0.500 0.663
```

Largest 10 diffraction maxima, in order of rising 2θ, 15° ≤ 2θ ≤ 90°:
2θ 17.96, I 13.8; 2θ 31.04, I 26.6; 2θ 36.10, I 30.8; 2θ 36.39, I 100.0; 2θ 44.72, I 20.1; 2θ 48.56, I 52.0; 2θ 58.96, I 15.3; 2θ 65.48, I 19.5; 2θ 74.23, I 13.9; 2θ 76.58, I 18.1

---

Calculated XRD peak list
Compound: NdB3Ir6
Radiation: CuKα
Structure: the PBE geometry in Alexandria
Neutral-atom scattering factors, no anomalous dispersion.

Atomic structure:
```
NdB3Ir6
1.0
5.535 0.000 0.000
-0.005 5.661 0.000
-1.552 -2.830 4.657
Nd B Ir
1 3 6
direct
0.000 0.000 0.000
0.488 0.773 0.545
0.943 0.338 0.677
0.970 0.664 0.329
0.240 0.533 0.591
0.241 0.058 0.592
0.241 0.541 0.081
0.682 0.455 0.913
0.699 0.454 0.405
0.699 0.950 0.404
```

Largest 10 diffraction maxima, in order of rising 2θ, 15° ≤ 2θ ≤ 90°:
2θ 18.34, I 28.0; 2θ 34.16, I 46.1; 2θ 36.94, I 49.7; 2θ 37.17, I 100.0; 2θ 38.32, I 28.6; 2θ 43.70, I 19.9; 2θ 46.69, I 42.1; 2θ 47.46, I 19.9; 2θ 65.96, I 40.1; 2θ 76.70, I 15.6

---

Calculated XRD peak list
Compound: NdB2IrRu
Radiation: CuKα
Structure: the PBE geometry in Alexandria
Neutral-atom scattering factors, no anomalous dispersion.

Atomic structure:
```
NdB2IrRu
1.0
-1.976 1.976 4.948
1.976 -1.976 4.948
1.976 1.976 -4.948
Nd B Ir Ru
1 2 1 1
direct
0.000 0.000 0.000
0.331 0.331 0.000
0.669 0.669 0.000
0.750 0.250 0.500
0.250 0.750 0.500
```

Largest 10 diffraction maxima, in order of rising 2θ, 15° ≤ 2θ ≤ 90°:
2θ 17.93, I 20.9; 2θ 24.25, I 41.0; 2θ 35.44, I 20.2; 2θ 36.31, I 26.3; 2θ 36.94, I 100.0; 2θ 45.92, I 30.0; 2θ 59.90, I 24.8; 2θ 65.74, I 20.4; 2θ 78.63, I 11.3; 2θ 79.01, I 22.2

---

Calculated XRD peak list
Compound: NiBIrRh
Radiation: CuKα
Structure: the PBE geometry in Alexandria
Neutral-atom scattering factors, no anomalous dispersion.

Atomic structure:
```
NiBIrRh
1.0
3.028 -1.756 0.000
3.028 1.756 0.000
-2.016 0.000 4.711
Ni B Ir Rh
1 1 1 1
direct
0.000 0.000 0.000
0.164 0.164 0.496
0.563 0.563 0.692
0.767 0.767 0.304
```

Largest 10 diffraction maxima, in order of rising 2θ, 15° ≤ 2θ ≤ 90°:
2θ 18.84, I 19.3; 2θ 30.08, I 61.7; 2θ 30.19, I 31.0; 2θ 32.10, I 46.0; 2θ 39.13, I 90.4; 2θ 43.77, I 100.0; 2θ 52.08, I 23.6; 2θ 52.28, I 46.7; 2θ 70.35, I 15.9; 2θ 82.54, I 18.5

---

Calculated XRD peak list
Compound: SmNiBIr
Radiation: CuKα
Structure: the PBE geometry in Alexandria
Neutral-atom scattering factors, no anomalous dispersion.

Atomic structure:
```
SmNiBIr
1.0
-1.852 1.932 4.447
1.852 -1.932 4.447
1.852 1.932 -4.447
Sm Ni B Ir
1 1 1 1
direct
0.000 0.000 0.000
0.346 0.346 0.000
0.755 0.255 0.500
0.648 0.648 0.000
```

Largest 10 diffraction maxima, in order of rising 2θ, 15° ≤ 2θ ≤ 90°:
2θ 19.97, I 20.5; 2θ 33.52, I 100.0; 2θ 38.27, I 68.5; 2θ 38.91, I 66.5; 2θ 39.32, I 17.4; 2θ 47.04, I 20.9; 2θ 49.20, I 18.3; 2θ 62.64, I 39.4; 2θ 63.99, I 30.2; 2θ 72.98, I 18.2

---

Calculated XRD peak list
Compound: ZrNiB2Ir2
Radiation: CuKα
Structure: the PBE geometry in Alexandria
Neutral-atom scattering factors, no anomalous dispersion.

Atomic structure:
```
ZrNiB2Ir2
1.0
-1.960 1.960 5.339
1.960 -1.960 5.339
1.960 1.960 -5.339
Zr Ni B Ir
1 1 2 2
direct
0.000 0.000 0.000
0.500 0.500 0.000
0.322 0.322 0.000
0.678 0.678 0.000
0.250 0.750 0.500
0.750 0.250 0.500
```

Largest 10 diffraction maxima, in order of rising 2θ, 15° ≤ 2θ ≤ 90°:
2θ 16.60, I 32.0; 2θ 32.29, I 10.1; 2θ 33.57, I 32.1; 2θ 36.52, I 100.0; 2θ 46.31, I 28.0; 2θ 47.27, I 9.0; 2θ 58.40, I 26.2; 2θ 61.96, I 23.1; 2θ 77.60, I 11.4; 2θ 79.33, I 21.1

---

Calculated XRD peak list
Compound: Np3B4Ir11
Radiation: CuKα
Structure: the PBE geometry in Alexandria
Neutral-atom scattering factors, no anomalous dispersion.

Atomic structure:
```
Np3B4Ir11
1.0
5.428 0.000 0.000
-2.714 4.701 0.000
0.000 0.000 10.562
Np B Ir
3 4 11
direct
0.000 0.000 0.000
0.000 0.000 0.346
0.000 0.000 0.654
0.333 0.667 0.352
0.333 0.667 0.648
0.667 0.333 0.352
0.667 0.333 0.648
0.000 0.500 0.208
0.000 0.500 0.500
0.000 0.500 0.792
0.333 0.667 0.000
0.500 0.000 0.208
0.500 0.000 0.500
0.500 0.000 0.792
0.500 0.500 0.208
0.500 0.500 0.500
0.500 0.500 0.792
0.667 0.333 0.000
```

Largest 10 diffraction maxima, in order of rising 2θ, 15° ≤ 2θ ≤ 90°:
2θ 31.75, I 59.4; 2θ 33.95, I 17.9; 2θ 38.30, I 100.0; 2θ 39.13, I 17.6; 2θ 42.04, I 86.0; 2θ 46.45, I 19.2; 2θ 58.16, I 22.3; 2θ 65.17, I 21.4; 2θ 69.24, I 29.5; 2θ 74.77, I 24.6